This entry pairs a crystal structure of Ba3Al2Ga2Fe2O12 with its simulated X-ray diffraction stick pattern. Radiation: Cu Ka. Structure: the PBE+U geometry in the Materials Project.
Intensities are scaled so that the largest is 100.

Crystal structure
Cell: 9.3168 9.0947 9.3464 Å, 90.00 119.54 90.00°
Space group P2_1 (No. 4)
Symmetry-distinct sites (fractional):
Ba: 0.0072 0.0000 0.0108 (multiplicity 2)
Ba: 0.3337 0.9921 0.6584 (multiplicity 2)
Ba: 0.3409 0.4952 0.6710 (multiplicity 2)
Al: 0.0065 0.6919 0.6721 (multiplicity 2)
Al: 0.3218 0.2993 0.3292 (multiplicity 2)
Ga: 0.0029 0.2976 0.6609 (multiplicity 2)
Ga: 0.3308 0.7970 0.0055 (multiplicity 2)
Fe: 0.3304 0.2011 0.0033 (multiplicity 2)
Fe: 0.3422 0.6920 0.3486 (multiplicity 2)
O: 0.0298 0.4994 0.6798 (multiplicity 2)
O: 0.1054 0.7568 0.5628 (multiplicity 2)
O: 0.1093 0.7504 0.8819 (multiplicity 2)
O: 0.1197 0.7555 0.2359 (multiplicity 2)
O: 0.2077 0.2296 0.4195 (multiplicity 2)
O: 0.2171 0.2257 0.7718 (multiplicity 2)
O: 0.2204 0.2772 0.1118 (multiplicity 2)
O: 0.3331 0.9984 0.0463 (multiplicity 2)
O: 0.3406 0.4891 0.3708 (multiplicity 2)
O: 0.4456 0.7268 0.2207 (multiplicity 2)
O: 0.4456 0.7612 0.8942 (multiplicity 2)
O: 0.4694 0.7396 0.5750 (multiplicity 2)

Most intense lines, 15° ≤ 2θ ≤ 90°, by angle:
d [Å], 2theta, I/Imax, index
4.667, 19.0, 18, 1 0 -2
4.165, 21.3, 14, 1 1 -2
3.263, 27.3, 100, 1 2 1
3.254, 27.4, 50, 2 2 -1
2.710, 33.0, 29, 0 0 3
2.702, 33.2, 27, 3 0 0
2.688, 33.3, 27, 3 0 -3
2.274, 39.6, 17, 0 4 0
2.087, 43.4, 13, 2 2 2
2.078, 43.5, 14, 2 2 -4
2.045, 44.3, 16, 1 4 1
1.641, 56.0, 13, 5 2 -4